Simulated X-ray powder pattern
Compound: KBeMoF6
Radiation: Cu Kα (weighted mean of Kα1 and Kα2)
Structure: a cell relaxed with PBE+U
Neutral-atom scattering factors, no anomalous dispersion.

Structural model:
Unit cell a=5.2261 b=9.0196 c=5.7602 alpha=90.00 beta=90.07 gamma=90.00
Space group C2 (No. 5)
Unique sites:
K (0.0000, 0.0000, 0.0000) x2
Be (0.0000, 0.3326, 0.5000) x2
Mo (0.0000, 0.6666, 0.5000) x2
F (0.1320, 0.4777, 0.6778) x4
F (0.1514, 0.1945, 0.6774) x4
F (0.2174, 0.8262, 0.6788) x4

Largest 8 diffraction maxima, sorted by position, 2θ from 15° to 90°:
- (0 0 1), 15.4°, I = 49
- (0 2 0), 19.6°, I = 25
- (0 2 1), 25.0°, I = 100
- (0 2 2), 37.0°, I = 19
- (2 2 1), 43.0°, I = 14
- (2 0 -2), 46.9°, I = 17
- (1 3 2), 47.0°, I = 22
- (2 4 -1), 56.2°, I = 15